The following is a computed powder diffraction line list of Fe3O4F2. It was derived from a PBE+U-relaxed structure, using Cu Ka.
Lines closer than 0.1° are merged.

Atomic structure:
Lattice parameters (Å, degrees): 4.6948 5.5984 7.6903 85.46 88.84 87.81
Element x y z (fractional)
Fe 0.0000 0.0000 0.0000
Fe 0.0061 0.3311 0.6658
Fe 0.4883 0.8303 0.6646
Fe 0.5089 0.4931 0.9838
Fe 0.5303 0.1653 0.3416
Fe 0.9461 0.6537 0.3217
O 0.1851 0.2896 0.8919
O 0.2993 0.7903 0.8885
O 0.3033 0.1251 0.5673
O 0.6842 0.8602 0.4415
O 0.6932 0.2052 0.1019
O 0.6955 0.5388 0.7547
O 0.8003 0.7081 0.0926
O 0.8150 0.3604 0.4394
F 0.1931 0.9577 0.2358
F 0.1939 0.6290 0.5512
F 0.3009 0.4661 0.2318
F 0.7964 0.0335 0.7656

Most intense lines, 10 to 80 degrees two-theta, by angle:
(hkl)  Position (°2θ)  d_spacing  Rel. int.
1 1 1  26.31  3.387  100
-1 1 1  27.45  3.249  97
0 2 -1  35.05  2.560  54
0 0 3  35.17  2.552  51
0 2 2  38.39  2.345  18
1 3 0  52.22  1.752  31
1 1 4  52.48  1.744  29
-1 1 4  53.54  1.712  28
1 -3 0  53.74  1.706  28
-2 2 2  56.65  1.625  17
0 2 -4  60.76  1.524  17
0 4 1  67.28  1.392  17